For Li3TiMn2O6, DFT lattice parameters and positions (PBE+U) gives the simulated powder XRD pattern in this record (Cu Kα).
Intensities are scaled so that the largest is 100.

Peak list (10 most intense, 10 to 80 degrees two-theta, in order of rising 2θ)
| Position (°2θ) | I/Imax |
| --- | --- |
| 17.99 | 100.0 |
| 33.01 | 16.3 |
| 35.30 | 26.9 |
| 36.28 | 7.7 |
| 39.69 | 33.5 |
| 43.24 | 53.4 |
| 45.71 | 9.4 |
| 57.11 | 8.7 |
| 59.78 | 16.2 |
| 60.48 | 15.4 |

Structure:
```
data_Li3TiMn2O6
_symmetry_space_group_name_H-M 'C 1 m 1'
_symmetry_Int_Tables_number 8
_cell_length_a 13.9025
_cell_length_b 2.9531
_cell_length_c 5.9302
_cell_angle_alpha 90.00
_cell_angle_beta 101.45
_cell_angle_gamma 90.00
loop_
_symmetry_equiv_pos_as_xyz
'x,y,z'
'x,-y,z'
'x+1/2,y+1/2,z'
'x+1/2,-y+1/2,z'
loop_
_atom_site_label
_atom_site_fract_x
_atom_site_fract_y
_atom_site_fract_z
Li1 0.0000 0.0000 0.0000
Li2 0.1540 0.5000 0.3111
Li3 0.3141 0.0000 0.6374
Ti1 0.1527 0.5000 0.8166
Mn1 0.3279 0.0000 0.1470
Mn2 0.4893 0.5000 0.4735
O1 0.0152 0.5000 0.7432
O2 0.1587 0.0000 0.0452
O3 0.1649 0.0000 0.5970
O4 0.3119 0.5000 0.9100
O5 0.3253 0.5000 0.3770
O6 0.4917 0.0000 0.2312
```